Entry 1:
Starting from a cell relaxed with GGA+U, the X-ray powder pattern of Li2Co3OF6 was simulated for λ = 1.5418 Å (Cu Kα).
No peak broadening, texture or thermal motion is included.

Crystal structure
```
Li2Co3OF6
1.0
5.050 0.000 0.000
-0.468 10.389 0.000
-2.428 -5.133 10.409
Li Co O F
8 12 4 24
direct
0.000 0.000 0.000 Li
0.032 0.984 0.285 Li
0.270 0.291 0.572 Li
0.325 0.574 0.788 Li
0.358 0.509 0.998 Li
0.602 0.465 0.280 Li
0.669 0.789 0.575 Li
0.831 0.075 0.793 Li
0.019 0.501 0.142 Co
0.070 0.302 0.288 Co
0.153 0.629 0.430 Co
0.222 0.980 0.571 Co
0.361 0.844 0.811 Co
0.437 0.199 0.978 Co
0.538 0.007 0.142 Co
0.545 0.784 0.275 Co
0.696 0.155 0.429 Co
0.737 0.481 0.581 Co
0.830 0.309 0.736 Co
0.958 0.692 0.011 Co
0.241 0.472 0.285 O
0.242 0.659 0.135 O
0.843 0.140 0.277 O
0.913 0.319 0.584 O
0.017 0.804 0.559 F
0.029 0.126 0.697 F
0.081 0.668 0.715 F
0.086 0.508 0.861 F
0.133 0.012 0.865 F
0.189 0.342 0.993 F
0.201 0.858 0.009 F
0.275 0.152 0.125 F
0.393 0.301 0.432 F
0.400 0.977 0.290 F
0.412 0.811 0.441 F
0.458 0.132 0.562 F
0.493 0.626 0.567 F
0.528 0.927 0.704 F
0.533 0.440 0.707 F
0.620 0.735 0.877 F
0.633 0.228 0.845 F
0.643 0.029 0.973 F
0.719 0.526 0.006 F
0.731 0.338 0.136 F
0.761 0.840 0.145 F
0.800 0.640 0.291 F
0.869 0.474 0.425 F
0.903 0.967 0.418 F
```

Main lines, in order of rising 2θ (2θ = 10–80°):
| 2θ (°) | I (rel.) |
| --- | --- |
| 19.21 | 100.0 |
| 19.91 | 83.0 |
| 25.59 | 60.9 |
| 26.43 | 47.3 |
| 30.65 | 54.6 |
| 32.01 | 78.0 |
| 32.53 | 52.4 |
| 49.21 | 61.3 |

Entry 2:
Starting from a cell relaxed with GGA+U, the X-ray powder pattern of LiCo6O2F10 was simulated for λ = 1.5418 Å (Cu Kα).
No peak broadening, texture or thermal motion is included.

Crystal structure
```
LiCo6O2F10
1.0
4.808 0.000 0.000
0.042 4.825 0.000
0.073 0.014 9.693
Li Co O F
1 6 2 10
direct
0.000 0.000 0.000 Li
0.246 0.739 0.658 Co
0.262 0.736 0.348 Co
0.335 0.661 0.033 Co
0.718 0.273 0.503 Co
0.740 0.241 0.823 Co
0.814 0.190 0.198 Co
0.111 0.885 0.176 O
0.434 0.560 0.495 O
0.040 0.950 0.500 F
0.047 0.941 0.820 F
0.451 0.538 0.844 F
0.510 0.493 0.195 F
0.539 0.052 0.667 F
0.572 0.031 0.348 F
0.602 0.011 0.003 F
0.933 0.446 0.668 F
0.968 0.423 0.350 F
0.984 0.391 0.007 F
```

Main lines, in order of rising 2θ (2θ = 10–80°):
| 2θ (°) | I (rel.) |
| --- | --- |
| 26.05 | 100.0 |
| 26.28 | 71.5 |
| 33.32 | 43.5 |
| 33.40 | 19.9 |
| 33.53 | 23.1 |
| 50.67 | 27.5 |
| 50.93 | 22.4 |
| 51.07 | 27.2 |

Entry 3:
Starting from a cell relaxed with GGA+U, the X-ray powder pattern of Li6Co2OF11 was simulated for λ = 1.5418 Å (Cu Kα).
No peak broadening, texture or thermal motion is included.

Crystal structure
```
Li6Co2OF11
1.0
5.127 0.000 0.000
-2.558 4.815 0.000
-0.043 -2.875 8.206
Li Co O F
6 2 1 11
direct
0.000 0.000 0.000 Li
0.027 0.485 0.516 Li
0.290 0.203 0.647 Li
0.508 0.259 0.271 Li
0.767 0.456 0.915 Li
0.836 0.980 0.401 Li
0.318 0.750 0.155 Co
0.497 0.712 0.759 Co
0.271 0.733 0.967 O
0.099 0.494 0.724 F
0.104 0.963 0.192 F
0.199 0.231 0.458 F
0.400 0.333 0.856 F
0.408 0.832 0.349 F
0.577 0.041 0.629 F
0.588 0.587 0.112 F
0.699 0.129 0.061 F
0.707 0.626 0.560 F
0.891 0.873 0.803 F
0.940 0.417 0.289 F
```

Main lines, in order of rising 2θ (2θ = 10–80°):
| 2θ (°) | I (rel.) |
| --- | --- |
| 19.53 | 75.7 |
| 19.88 | 100.0 |
| 21.08 | 52.5 |
| 21.66 | 44.5 |
| 24.20 | 45.2 |
| 32.93 | 63.6 |
| 35.17 | 39.1 |
| 52.66 | 36.3 |

Entry 4:
Starting from a cell relaxed with GGA+U, the X-ray powder pattern of Li8CoO5F was simulated for λ = 1.5418 Å (Cu Kα).
No peak broadening, texture or thermal motion is included.

Crystal structure
```
Li8CoO5F
1.0
5.298 0.000 0.000
2.265 4.945 0.000
0.551 2.693 10.193
Li Co O F
16 2 10 2
direct
0.000 0.000 0.000 Li
0.002 0.427 0.849 Li
0.079 0.139 0.320 Li
0.084 0.563 0.151 Li
0.209 0.648 0.505 Li
0.218 0.235 0.646 Li
0.375 0.281 0.008 Li
0.395 0.860 0.161 Li
0.483 0.431 0.347 Li
0.494 0.993 0.498 Li
0.559 0.141 0.813 Li
0.576 0.554 0.646 Li
0.715 0.666 0.009 Li
0.730 0.244 0.153 Li
0.864 0.280 0.500 Li
0.896 0.848 0.659 Li
0.355 0.716 0.849 Co
0.834 0.731 0.343 Co
0.034 0.878 0.210 O
0.070 0.657 0.952 O
0.180 0.347 0.446 O
0.246 0.518 0.711 O
0.362 0.984 0.958 O
0.528 0.871 0.710 O
0.563 0.652 0.452 O
0.680 0.368 0.949 O
0.751 0.537 0.218 O
0.854 0.972 0.448 O
0.388 0.204 0.194 F
0.878 0.191 0.690 F
```

Main lines, in order of rising 2θ (2θ = 10–80°):
| 2θ (°) | I (rel.) |
| --- | --- |
| 17.40 | 78.3 |
| 18.56 | 67.6 |
| 19.93 | 72.8 |
| 20.31 | 64.6 |
| 20.90 | 74.4 |
| 22.00 | 59.4 |
| 34.25 | 100.0 |
| 37.83 | 67.0 |

Entry 5:
Starting from a cell relaxed with GGA+U, the X-ray powder pattern of Li4Co7O2F14 was simulated for λ = 1.5418 Å (Cu Kα).
No peak broadening, texture or thermal motion is included.

Crystal structure
```
Li4Co7O2F14
1.0
5.102 0.000 0.000
-0.100 5.952 0.000
-0.193 -0.445 10.491
Li Co O F
4 7 2 14
direct
0.025 0.242 0.407 Li
0.457 0.264 0.919 Li
0.543 0.736 0.081 Li
0.975 0.758 0.593 Li
0.000 0.000 0.000 Co
0.012 0.266 0.742 Co
0.495 0.246 0.242 Co
0.500 0.000 0.500 Co
0.500 0.500 0.500 Co
0.505 0.754 0.758 Co
0.988 0.734 0.258 Co
0.338 0.754 0.587 O
0.662 0.246 0.413 O
0.182 0.755 0.091 F
0.212 0.253 0.569 F
0.219 0.480 0.330 F
0.226 0.996 0.332 F
0.243 0.014 0.835 F
0.290 0.482 0.821 F
0.295 0.212 0.076 F
0.705 0.788 0.924 F
0.710 0.518 0.179 F
0.757 0.986 0.165 F
0.774 0.004 0.668 F
0.781 0.520 0.670 F
0.788 0.747 0.431 F
0.818 0.245 0.909 F
```

Main lines, in order of rising 2θ (2θ = 10–80°):
| 2θ (°) | I (rel.) |
| --- | --- |
| 24.21 | 30.5 |
| 24.41 | 100.0 |
| 25.03 | 70.6 |
| 33.99 | 42.5 |
| 34.19 | 41.8 |
| 49.58 | 50.8 |
| 50.05 | 35.3 |
| 50.40 | 31.4 |

Entry 6:
Starting from a cell relaxed with GGA+U, the X-ray powder pattern of Li3Co3OF7 was simulated for λ = 1.5418 Å (Cu Kα).
No peak broadening, texture or thermal motion is included.

Crystal structure
```
Li3Co3OF7
1.0
5.205 -3.049 0.000
5.205 3.049 0.000
-3.425 0.000 4.972
Li Co O F
3 3 1 7
direct
0.000 0.000 0.000 Li
0.011 0.011 0.531 Li
0.390 0.390 0.646 Li
0.000 0.513 0.007 Co
0.513 0.000 0.007 Co
0.641 0.641 0.433 Co
0.766 0.766 0.810 O
0.240 0.764 0.269 F
0.250 0.250 0.765 F
0.251 0.783 0.779 F
0.256 0.256 0.238 F
0.764 0.240 0.269 F
0.769 0.769 0.280 F
0.783 0.251 0.779 F
```

Main lines, in order of rising 2θ (2θ = 10–80°):
| 2θ (°) | I (rel.) |
| --- | --- |
| 17.84 | 67.3 |
| 18.10 | 70.4 |
| 20.72 | 94.9 |
| 29.60 | 70.5 |
| 34.51 | 100.0 |
| 34.65 | 82.1 |
| 42.13 | 88.9 |
| 60.75 | 60.2 |

- What is the formula in the second record?
  LiCo6O2F10